No. 1
Simulated powder diffraction line list of Ba3ZnSe4 for Cu Kα, 1.54184 Å, from a crystal structure in Alexandria, relaxed with PBE.

Peak list (10 most intense, 2θ from 10° to 90°, in order of rising 2θ)
h k l  Position (°2θ)  I (rel.)
0 3 1  25.19  42
2 0 2  26.61  45
0 1 3  27.99  59
1 0 3  28.63  50
2 3 0  30.82  56
2 2 2  30.99  100
0 4 0  31.55  53
3 1 1  31.98  38
2 3 1  32.13  80
0 5 3  48.61  31

abc: 9.051 11.343 9.965
angles: 90.00 90.00 90.00
Space group Pnma (No. 62)
Inequivalent atoms, fractional coordinates:
Ba1 0.032 0.045 0.202
Ba2 0.102 0.750 0.432
Zn1 0.200 0.750 0.990
Se1 0.038 0.250 0.886
Se2 0.184 0.055 0.521
Se3 0.201 0.750 0.734

No. 2
Simulated powder diffraction line list of Zn4GaIr for Cu Kα, 1.54184 Å, from a crystal structure in Alexandria, relaxed with PBE.

Peak list (10 most intense, 2θ from 10° to 90°, in order of rising 2θ)
h k l  Position (°2θ)  I (rel.)
1 1 0  18.61  28
0 2 1  21.81  56
0 0 2  36.49  55
0 6 0  37.17  26
2 2 -1  41.29  78
0 6 1  41.60  100
2 2 1  42.92  66
2 4 0  43.69  73
1 3 -2  44.27  27
0 4 2  44.46  24

abc: 5.054 14.513 4.931
angles: 90.00 92.85 90.00
Space group C2/c (No. 15)
Inequivalent atoms, fractional coordinates:
Zn1 0.237 0.025 0.112
Zn2 0.247 0.197 0.258
Ga1 0.000 0.367 0.250
Ir1 0.000 0.140 0.750

No. 3
Simulated powder diffraction line list of Sn2BiSbAu4 for Cu Kα, 1.54184 Å, from a crystal structure in Alexandria, relaxed with PBE.

Peak list (10 most intense, 2θ from 10° to 90°, in order of rising 2θ)
h k l  Position (°2θ)  I (rel.)
0 4 0  30.88  50
2 0 2  31.04  100
4 0 0  40.32  25
2 4 2  44.35  76
0 0 4  48.34  15
4 4 0  51.63  25
0 4 4  58.46  17
2 8 2  73.15  18
4 4 4  73.41  18
6 4 2  76.11  16

abc: 8.948 11.584 7.532
angles: 90.00 90.00 90.00
Space group Fmm2 (No. 42)
Inequivalent atoms, fractional coordinates:
Sn1 0.250 0.250 0.000
Bi1 0.000 0.000 0.250
Sb1 0.000 0.000 0.751
Au1 0.000 0.245 0.750
Au2 0.250 0.000 0.001

No. 4
Simulated powder diffraction line list of KInGe for Cu Kα, 1.54184 Å, from a crystal structure in Alexandria, relaxed with PBE.

Peak list (10 most intense, 2θ from 10° to 90°, in order of rising 2θ)
h k l  Position (°2θ)  I (rel.)
0 0 1  10.23  100
0 1 1  21.41  15
0 1 2  27.95  15
1 0 2  28.37  20
1 1 1  29.02  36
1 1 2  34.23  91
0 2 0  38.05  24
2 0 0  39.31  22
1 1 3  41.64  21
2 2 0  55.86  15

abc: 4.584 4.730 8.650
angles: 90.00 90.00 90.00
Space group Pmm2 (No. 25)
Inequivalent atoms, fractional coordinates:
K1 0.000 0.000 0.000
K2 0.500 0.500 0.313
In1 0.000 0.500 0.639
In2 0.500 0.500 0.863
Ge1 0.000 0.000 0.451
Ge2 0.500 0.000 0.638

No. 5
Simulated powder diffraction line list of TmMgNi17 for Cu Kα, 1.54184 Å, from a crystal structure in Alexandria, relaxed with PBE.

Peak list (10 most intense, 2θ from 10° to 90°, in order of rising 2θ)
h k l  Position (°2θ)  I (rel.)
1 0 1  14.48  29
3 0 0  37.98  37
0 2 4  39.28  30
2 2 0  44.14  62
0 3 3  44.43  100
0 0 6  45.29  49
2 0 5  45.58  21
2 2 3  49.95  51
2 2 6  65.10  22
0 3 9  83.05  22

abc: 8.2066 8.2066 12.0130
angles: 90.00 90.00 120.00
Space group R3m (No. 160, hexagonal axes)
Inequivalent atoms, fractional coordinates:
Tm1 0.0000 0.0000 0.0000
Mg1 0.0000 0.0000 0.6803
Ni1 0.0000 0.0000 0.2417
Ni2 0.0000 0.0000 0.4409
Ni3 0.0009 0.2971 0.3399
Ni4 0.0027 0.5014 0.8395
Ni5 0.0030 0.5015 0.1873
Ni6 0.0055 0.5027 0.4932

No. 6
Simulated powder diffraction line list of U2CuNi9 for Cu Kα, 1.54184 Å, from a crystal structure in Alexandria, relaxed with PBE.

Peak list (10 most intense, 2θ from 10° to 90°, in order of rising 2θ)
h k l  Position (°2θ)  I (rel.)
0 0 3  10.99  75
1 0 4  26.04  49
1 0 7  33.77  72
0 1 8  36.80  60
1 1 0  37.50  77
0 2 1  43.75  47
1 1 6  43.95  100
0 2 4  46.22  37
0 1 11  46.79  46
2 0 5  47.66  36

abc: 4.7964 4.7964 24.1567
angles: 90.00 90.00 120.00
Space group R-3m (No. 166, hexagonal axes)
Inequivalent atoms, fractional coordinates:
U1 0.0000 0.0000 0.1373
Cu1 0.0000 0.0000 0.0000
Ni1 0.0000 0.0000 0.3330
Ni2 0.0000 0.0000 0.5000
Ni3 0.0014 0.5007 0.9174

No. 7
Simulated powder diffraction line list of Zr4AlGa for Cu Kα, 1.54184 Å, from a crystal structure in Alexandria, relaxed with PBE.

Peak list (10 most intense, 2θ from 10° to 90°, in order of rising 2θ)
h k l  Position (°2θ)  I (rel.)
0 0 2  32.65  12
2 1 1  33.91  100
1 1 2  37.84  22
3 1 0  42.37  30
2 0 2  42.48  17
4 1 1  58.91  9
2 1 3  59.08  19
4 0 2  64.91  13
3 3 2  68.18  15
5 2 1  78.29  12

abc: 6.745 6.745 5.486
angles: 90.00 90.00 90.00
Space group P4/mcc (No. 124)
Inequivalent atoms, fractional coordinates:
Zr1 0.151 0.345 0.000
Al1 0.500 0.500 0.250
Ga1 0.000 0.000 0.250

No. 8
Simulated powder diffraction line list of PuCd2CuAu4 for Cu Kα, 1.54184 Å, from a crystal structure in Alexandria, relaxed with PBE.

Peak list (10 most intense, 2θ from 10° to 90°, in order of rising 2θ)
h k l  Position (°2θ)  I (rel.)
0 1 5  28.38  12
1 0 7  33.84  14
0 1 8  36.88  87
1 1 0  37.49  100
2 0 8  53.61  30
1 0 16  66.05  9
1 2 8  67.25  30
3 0 0  67.65  18
1 1 15  70.62  10
2 2 0  79.99  11

abc: 4.7976 4.7976 24.0700
angles: 90.00 90.00 120.00
Space group R-3m (No. 166, hexagonal axes)
Inequivalent atoms, fractional coordinates:
Pu1 0.0000 0.0000 0.0000
Cd1 0.0000 0.0000 0.2491
Cu1 0.0000 0.0000 0.5000
Au1 0.0000 0.0000 0.1305
Au2 0.0000 0.0000 0.3895

No. 9
Simulated powder diffraction line list of Nd3SbBr3 for Cu Kα, 1.54184 Å, from a crystal structure in Alexandria, relaxed with PBE.

Peak list (10 most intense, 2θ from 10° to 90°, in order of rising 2θ)
h k l  Position (°2θ)  I (rel.)
0 0 6  16.29  9
1 1 0  23.98  11
2 -1 6  29.12  100
1 1 12  41.14  38
3 0 0  42.17  34
2 2 6  52.07  19
4 -2 12  60.38  12
3 0 18  67.68  16
5 -1 6  69.15  17
4 1 12  76.38  12

abc: 7.4234 7.4234 32.6441
angles: 90.00 90.00 120.00
Space group R-3 (No. 148, hexagonal axes)
Inequivalent atoms, fractional coordinates:
Nd1 0.0000 0.3298 0.0541
Sb1 0.0000 0.0000 0.3333
Br1 0.0000 0.3364 0.8909

No. 10
Simulated powder diffraction line list of Ca4MgHg3 for Cu Kα, 1.54184 Å, from a crystal structure in Alexandria, relaxed with PBE.

Peak list (10 most intense, 2θ from 10° to 90°, in order of rising 2θ)
h k l  Position (°2θ)  I (rel.)
1 0 1  19.24  11
0 1 2  20.11  10
1 0 4  23.26  39
1 1 0  33.13  100
0 2 4  40.87  12
2 0 8  47.55  17
2 1 4  53.58  17
3 0 0  59.18  35
2 2 0  69.52  10
3 1 8  79.21  14

abc: 5.4091 5.4091 26.4867
angles: 90.00 90.00 120.00
Space group R-3m (No. 166, hexagonal axes)
Inequivalent atoms, fractional coordinates:
Ca1 0.0000 0.0000 0.1206
Ca2 0.0000 0.0000 0.3712
Mg1 0.0000 0.0000 0.5000
Hg1 0.0000 0.0000 0.0000
Hg2 0.0000 0.0000 0.2434